ThCr2GeO8: calculated powder X-ray diffraction pattern (a wavelength of 1.5418 Å), based on a structure optimized by DFT (GGA+U).
Peak positions follow from Bragg's law for the DFT cell and can differ from measured ones.

Cell and atoms:
```
data_ThCr2GeO8
_chemical_formula_sum 'Th1 Cr2 Ge1 O8'
_cell_length_a 4.673
_cell_length_b 6.533
_cell_length_c 4.674
_cell_angle_alpha 90.00
_cell_angle_beta 92.15
_cell_angle_gamma 90.00
_space_group_name_H-M_alt 'P 1 2/m 1'
_space_group_IT_number 10
loop_
_space_group_symop_operation_xyz
'x,y,z'
'-x,-y,-z'
'-x,y,-z'
'x,-y,z'
loop_
_atom_site_label
_atom_site_fract_x
_atom_site_fract_y
_atom_site_fract_z
_atom_site_occupancy
Th1 0.000 0.000 0.000 1
Cr1 0.500 0.273 0.500 1
Ge1 0.000 0.500 0.000 1
O1 0.198 0.290 0.197 1
O2 0.305 0.500 0.694 1
O3 0.331 0.000 0.667 1
```

Most intense lines, 2θ = 10–80°, in order of falling intensity:
33.5°, I 100, hkl 1 2 0
26.5°, I 68, hkl 1 0 -1
27.5°, I 59, hkl 1 0 1
19.0°, I 51, hkl 1 0 0
51.4°, I 45, hkl 2 2 -1
23.4°, I 44, hkl 1 1 0